This entry pairs a crystal structure of Nd2Zn3Pd with its computed powder diffraction line list. Radiation: Cu Ka. Structure: a GGA-PBE-relaxed structure.

Structure:
```
data_Nd2Zn3Pd
_chemical_formula_sum 'Nd2 Zn3 Pd1'
_space_group_name_H-M_alt 'P 1'
_space_group_IT_number 1
_cell_length_a 3.726
_cell_length_b 4.510
_cell_length_c 7.829
_cell_angle_alpha 90.00
_cell_angle_beta 90.00
_cell_angle_gamma 90.00
loop_
_space_group_symop_operation_xyz
'x,y,z'
loop_
_atom_site_label
_atom_site_type_symbol
_atom_site_fract_x
_atom_site_fract_y
_atom_site_fract_z
Nd1 Nd 0.000 0.000 0.000
Nd2 Nd 0.000 0.500 0.471
Zn1 Zn 0.500 0.000 0.660
Zn2 Zn 0.500 0.500 0.144
Zn3 Zn 0.500 0.500 0.815
Pd1 Pd 0.500 0.000 0.322
```

Most intense lines, 2θ from 15° to 90°, most intense first:
33.2 deg, I 100, hkl 1 1 1; 39.9 deg, I 54, hkl 0 2 0; 52.9 deg, I 25, hkl 1 2 2; 64.9 deg, I 25, hkl 2 2 0; 68.2 deg, I 14, hkl 1 2 4; 22.7 deg, I 11, hkl 0 1 1; 48.9 deg, I 10, hkl 2 0 0; 68.3 deg, I 8, hkl 1 3 1; 81.3 deg, I 7, hkl 3 1 1; 72.6 deg, I 6, hkl 0 3 3